Computed powder X-ray diffraction pattern
Compound: K2NaPrI6
Radiation: copper Kα
Structure: a PBE-relaxed structure
Kinematic intensities with the Lorentz-polarization factor, no thermal factor.

Principal peaks in the range 10° ≤ 2θ ≤ 90°, in order of rising 2θ:
| 2θ (°) | I (rel.) |
| --- | --- |
| 14.38 | 32 |
| 24.02 | 100 |
| 29.00 | 32 |
| 32.17 | 40 |
| 36.18 | 26 |
| 42.70 | 22 |

```
K2NaPrI6
1.0
4.3004 2.4828 7.2985
-4.3004 2.4828 7.2985
0.0000 -4.9656 7.2985
K Na Pr I
2 1 1 6
Cartesian
0.0000 0.0000 0.0000
0.0000 0.0000 10.8170
0.0000 0.0000 4.5512
0.0000 0.0000 15.3948
-1.7110 -2.9540 9.8256
-2.5063 0.3664 13.4904
-1.7027 2.9588 9.8256
0.9358 -2.3537 13.4904
3.4138 -0.0048 9.8256
1.5704 1.9873 13.4904
```


Computed powder X-ray diffraction pattern
Compound: SrLi4Bi4
Radiation: copper Kα
Structure: a PBE-relaxed structure
Kinematic intensities with the Lorentz-polarization factor, no thermal factor.

Principal peaks in the range 10° ≤ 2θ ≤ 90°, in order of rising 2θ:
| 2θ (°) | I (rel.) |
| --- | --- |
| 18.30 | 40 |
| 26.75 | 100 |
| 35.78 | 21 |
| 37.65 | 28 |
| 40.48 | 36 |
| 58.97 | 22 |

```
SrLi4Bi4
1.0
7.0978 0.0000 0.0000
0.0000 7.0978 0.0000
0.0000 0.0000 9.6942
Sr Li Bi
2 8 8
Cartesian
1.7744 5.3233 2.4235
5.3233 1.7744 7.2706
0.2019 1.7744 1.5841
1.7744 0.2019 6.4312
1.7744 3.3470 6.4312
3.3470 1.7744 1.5841
3.7508 5.3233 8.1101
5.3233 3.7508 3.2630
5.3233 6.8959 3.2630
6.8959 5.3233 8.1101
0.1124 1.7744 4.4839
1.7744 0.1124 9.3310
1.7744 3.4365 9.3310
3.4365 1.7744 4.4839
3.6613 5.3233 5.2103
5.3233 3.6613 0.3632
5.3233 6.9854 0.3632
6.9854 5.3233 5.2103
```


Computed powder X-ray diffraction pattern
Compound: Cs2Tl3Hg9
Radiation: copper Kα
Structure: a PBE-relaxed structure
Kinematic intensities with the Lorentz-polarization factor, no thermal factor.

Principal peaks in the range 10° ≤ 2θ ≤ 90°, in order of rising 2θ:
| 2θ (°) | I (rel.) |
| --- | --- |
| 27.59 | 35 |
| 29.78 | 47 |
| 30.54 | 40 |
| 31.16 | 56 |
| 33.06 | 100 |
| 35.66 | 31 |

```
Cs2Tl3Hg9
1.0
8.6729 -4.6080 0.0000
8.6729 4.6080 0.0000
-7.2044 0.0000 11.8537
Cs Tl Hg
4 6 18
Cartesian
1.3036 0.7620 2.8367
-2.2986 -0.7620 8.7636
12.4400 0.7620 3.0901
8.8377 -0.7620 9.0169
4.3364 2.3040 0.0000
3.6403 2.4004 5.9856
2.8988 2.4004 11.7949
0.7342 -2.3040 5.9268
7.2425 -2.4004 0.0588
6.5011 -2.4004 5.8680
6.9993 3.7933 1.1457
6.7442 3.7933 4.7812
0.7471 0.8204 6.7050
5.1250 1.5023 3.1291
0.0210 0.7885 11.6022
4.3493 -0.8204 0.7782
3.2696 1.1799 8.8902
8.6186 1.5023 2.7977
3.6232 -0.7885 5.6754
6.5181 0.7885 6.1782
1.5228 -1.5023 9.0560
6.8718 -1.1799 2.9634
5.7921 0.8204 11.0755
10.1204 -0.7885 0.2514
5.0163 -1.5023 8.7245
9.3943 -0.8204 5.1487
3.3971 -3.7933 7.0725
3.1420 -3.7933 10.7080
```


Computed powder X-ray diffraction pattern
Compound: SeS4O
Radiation: copper Kα
Structure: a PBE-relaxed structure
Kinematic intensities with the Lorentz-polarization factor, no thermal factor.

Principal peaks in the range 10° ≤ 2θ ≤ 90°, in order of rising 2θ:
| 2θ (°) | I (rel.) |
| --- | --- |
| 15.73 | 100 |
| 17.59 | 81 |
| 19.09 | 56 |
| 28.25 | 40 |
| 30.13 | 37 |
| 33.27 | 33 |

```
SeS4O
1.0
5.7504 0.0000 0.0000
1.2620 6.3352 0.0000
0.0546 2.3797 10.4195
Se S O
2 8 2
Cartesian
0.0000 0.0000 0.0000
2.2726 5.6984 4.9561
1.1005 2.0499 4.3313
1.9495 6.3035 8.0306
2.0856 2.9609 6.0373
2.7042 5.2502 2.8871
3.6995 5.5738 8.4548
3.6339 2.7725 0.1398
5.5405 2.2157 0.4802
6.6010 5.3026 1.8847
1.0948 3.0052 7.1546
2.0581 2.0277 3.1910
```


Computed powder X-ray diffraction pattern
Compound: Nd3HgTe2
Radiation: copper Kα
Structure: a PBE-relaxed structure
Kinematic intensities with the Lorentz-polarization factor, no thermal factor.

Principal peaks in the range 10° ≤ 2θ ≤ 90°, in order of rising 2θ:
| 2θ (°) | I (rel.) |
| --- | --- |
| 28.12 | 100 |
| 40.06 | 39 |
| 40.24 | 26 |
| 40.45 | 13 |
| 49.95 | 14 |
| 65.58 | 12 |

```
Nd3HgTe2
1.0
6.3585 0.0000 0.0000
0.0000 13.3812 0.0000
-0.0463 0.0000 9.0157
Nd Hg Te
12 4 8
Cartesian
1.5589 1.0797 1.1001
1.5357 5.6109 5.6080
1.5633 1.1261 5.6627
1.5864 5.5645 1.1548
1.6012 10.0389 1.1404
1.5781 10.0329 5.6482
4.7340 3.3483 3.3675
4.7109 3.3423 7.8754
4.7257 7.8167 7.8609
4.7489 12.2551 3.3530
4.7764 7.7703 3.4078
4.7532 12.3015 7.9156
1.5991 7.8479 3.3793
1.5760 12.2239 7.8871
4.7361 1.1573 1.1286
4.7130 5.5333 5.6365
1.5561 3.3069 3.3780
1.5329 3.3837 7.8858
1.5474 7.8050 7.9069
1.5706 12.2668 3.3991
4.7416 1.1144 5.6167
4.7647 5.5762 1.1088
4.7792 9.9975 1.1299
4.7561 10.0743 5.6378
```


What did the fourth record say?
Computed powder X-ray diffraction pattern
Compound: SeS4O
Radiation: copper Kα
Structure: a PBE-relaxed structure
Kinematic intensities with the Lorentz-polarization factor, no thermal factor.

Principal peaks in the range 10° ≤ 2θ ≤ 90°, in order of rising 2θ:
| 2θ (°) | I (rel.) |
| --- | --- |
| 15.73 | 100 |
| 17.59 | 81 |
| 19.09 | 56 |
| 28.25 | 40 |
| 30.13 | 37 |
| 33.27 | 33 |

```
SeS4O
1.0
5.7504 0.0000 0.0000
1.2620 6.3352 0.0000
0.0546 2.3797 10.4195
Se S O
2 8 2
Cartesian
0.0000 0.0000 0.0000
2.2726 5.6984 4.9561
1.1005 2.0499 4.3313
1.9495 6.3035 8.0306
2.0856 2.9609 6.0373
2.7042 5.2502 2.8871
3.6995 5.5738 8.4548
3.6339 2.7725 0.1398
5.5405 2.2157 0.4802
6.6010 5.3026 1.8847
1.0948 3.0052 7.1546
2.0581 2.0277 3.1910
```